The following is a simulated powder diffraction line list of Er2ZrAs3. It was derived from a crystal structure in OQMD, relaxed with GGA-PBE, using CuKα.
No peak broadening, texture or thermal motion is included.

```
data_Er2ZrAs3
_symmetry_space_group_name_H-M 'P -3 m 1'
_symmetry_Int_Tables_number 164
_symmetry_space_group_name_Hall '-P 3 2"'
_cell_length_a 3.9916
_cell_length_b 3.9916
_cell_length_c 9.8528
_cell_angle_alpha 90.00
_cell_angle_beta 90.00
_cell_angle_gamma 120.00
loop_
_atom_site_label
_atom_site_type_symbol
_atom_site_fract_x
_atom_site_fract_y
_atom_site_fract_z
Er1 Er 0.3333 0.6667 0.3292
Zr1 Zr 0.0000 0.0000 0.0000
As1 As 0.0000 0.0000 0.5000
As2 As 0.3333 0.6667 0.8422
```

Largest 8 diffraction maxima, by intensity, 2θ = 10–90°:
31.62°, d = 2.830 Å, intensity 100.0
45.20°, d = 2.006 Å, intensity 36.6
45.45°, d = 1.996 Å, intensity 36.2
56.42°, d = 1.631 Å, intensity 19.1
75.24°, d = 1.263 Å, intensity 16.3
74.88°, d = 1.268 Å, intensity 15.7
27.34°, d = 3.262 Å, intensity 14.6
83.81°, d = 1.154 Å, intensity 12.2

---

The following is a simulated powder diffraction line list of ErAgSO. It was derived from a crystal structure in OQMD, relaxed with GGA-PBE, using CuKα.
No peak broadening, texture or thermal motion is included.

```
data_ErAgSO
_symmetry_space_group_name_H-M 'P 1 21 1'
_symmetry_Int_Tables_number 4
_cell_length_a 5.597
_cell_length_b 5.596
_cell_length_c 10.735
_cell_angle_alpha 90.00
_cell_angle_beta 91.59
_cell_angle_gamma 90.00
loop_
_symmetry_equiv_pos_as_xyz
'x,y,z'
'-x,y+1/2,-z'
loop_
_atom_site_label
_atom_site_type_symbol
_atom_site_fract_x
_atom_site_fract_y
_atom_site_fract_z
Er1 Er 0.004 0.000 0.097
Er2 Er 0.495 0.001 0.902
Ag1 Ag 0.187 0.272 0.497
Ag2 Ag 0.499 0.017 0.295
S1 S 0.199 0.310 0.278
S2 S 0.203 0.224 0.716
O1 O 0.250 0.749 0.000
O2 O 0.253 0.249 0.999
```

Largest 8 diffraction maxima, by intensity, 2θ = 10–90°:
27.75°, d = 3.215 Å, intensity 100.0
28.29°, d = 3.155 Å, intensity 90.9
34.12°, d = 2.628 Å, intensity 67.7
33.44°, d = 2.680 Å, intensity 66.3
45.87°, d = 1.978 Å, intensity 61.2
33.08°, d = 2.708 Å, intensity 46.3
42.10°, d = 2.146 Å, intensity 36.9
22.47°, d = 3.957 Å, intensity 33.3